# Hf3Bi
Simulated powder diffraction line list, λ = 1.5418 Å (Cu Kα). Input: a DFT-relaxed cell (PBE, OQMD).
Intensities are scaled so that the largest is 100.

The 10 most intense peaks (2θ from 15° to 90°), low angle first:
d_spacing  I_rel  index
2.632  100  2 1 -1
2.573  99  0 1 2
2.455  38  2 0 1
2.324  37  2 0 -3
2.042  26  0 2 0
1.657  13  0 0 4
1.570  19  2 2 1
1.534  21  2 2 -3
1.403  13  4 1 -4
1.376  15  2 1 -5

Crystal structure
```
data_Hf3Bi
_chemical_formula_sum 'Hf6 Bi2'
_cell_length_a 6.8928
_cell_length_b 4.0839
_cell_length_c 7.3090
_cell_angle_alpha 90.00
_cell_angle_beta 114.96
_cell_angle_gamma 90.00
_space_group_name_H-M_alt 'P 1 21/m 1'
_space_group_IT_number 11
loop_
_space_group_symop_operation_xyz
'x,y,z'
'-x,-y,-z'
'-x,y+1/2,-z'
'x,-y+1/2,z'
loop_
_atom_site_label
_atom_site_type_symbol
_atom_site_fract_x
_atom_site_fract_y
_atom_site_fract_z
Hf1 Hf 0.0623 0.2500 0.3815
Hf2 Hf 0.3047 0.2500 0.8652
Hf3 Hf 0.4145 0.7500 0.6208
Bi1 Bi 0.2332 0.7500 0.1432
```


# Hf2InBiPd2
Simulated powder diffraction line list, λ = 1.5418 Å (Cu Kα). Input: a DFT-relaxed cell (PBE, OQMD).
Intensities are scaled so that the largest is 100.

The 10 most intense peaks (2θ from 15° to 90°), low angle first:
d_spacing  I_rel  index
3.703  15  1 1 2
3.206  34  2 0 0
2.267  100  2 2 0
1.934  7  3 1 2
1.851  10  2 2 4
1.605  6  0 0 8
1.602  11  4 0 0
1.434  8  4 0 4
1.309  34  4 2 4
1.134  7  4 0 8

Crystal structure
```
data_Hf2InBiPd2
_chemical_formula_sum 'Hf8 In4 Bi4 Pd8'
_cell_length_a 6.4088
_cell_length_b 6.4088
_cell_length_c 12.8426
_cell_angle_alpha 90.00
_cell_angle_beta 90.00
_cell_angle_gamma 90.00
_space_group_name_H-M_alt 'I -4 2 d'
_space_group_IT_number 122
_space_group_name_Hall 'I -4 2bw'
loop_
_atom_site_label
_atom_site_type_symbol
_atom_site_fract_x
_atom_site_fract_y
_atom_site_fract_z
Hf1 Hf 0.0000 0.0000 0.2444
In1 In 0.0000 0.0000 0.0000
Bi1 Bi 0.0000 0.0000 0.5000
Pd1 Pd 0.2485 0.2500 0.1250
```


# Hf2InBiPt2
Simulated powder diffraction line list, λ = 1.5418 Å (Cu Kα). Input: a DFT-relaxed cell (PBE, OQMD).
Intensities are scaled so that the largest is 100.

The 10 most intense peaks (2θ from 15° to 90°), low angle first:
d_spacing  I_rel  index
3.711  32  1 1 2
3.214  10  2 0 0
2.272  100  2 2 0
1.938  16  3 1 2
1.609  6  0 0 8
1.606  11  4 0 0
1.475  7  3 3 2
1.437  3  4 2 0
1.312  35  4 2 4
1.136  11  4 4 0

Crystal structure
```
data_Hf2InBiPt2
_chemical_formula_sum 'Hf8 In4 Bi4 Pt8'
_cell_length_a 6.4239
_cell_length_b 6.4239
_cell_length_c 12.8695
_cell_angle_alpha 90.00
_cell_angle_beta 90.00
_cell_angle_gamma 90.00
_space_group_name_H-M_alt 'I -4 2 d'
_space_group_IT_number 122
_space_group_name_Hall 'I -4 2bw'
loop_
_atom_site_label
_atom_site_type_symbol
_atom_site_fract_x
_atom_site_fract_y
_atom_site_fract_z
Hf1 Hf 0.0000 0.0000 0.2447
In1 In 0.0000 0.0000 0.0000
Bi1 Bi 0.0000 0.0000 0.5000
Pt1 Pt 0.2461 0.2500 0.1250
```


# HfZrBi2Ir2
Simulated powder diffraction line list, λ = 1.5418 Å (Cu Kα). Input: a DFT-relaxed cell (PBE, OQMD).
Intensities are scaled so that the largest is 100.

The 10 most intense peaks (2θ from 15° to 90°), low angle first:
d_spacing  I_rel  index
3.405  26  0 0 4
3.048  77  2 1 0
2.974  51  3 0 2
2.545  100  3 1 -2
2.495  100  0 1 4
2.319  36  1 0 -6
2.222  33  5 0 -2
2.152  48  2 1 4
1.844  35  3 1 -6
1.834  40  0 2 0

Crystal structure
```
data_HfZrBi2Ir2
_chemical_formula_sum 'Hf4 Zr4 Bi8 Ir8'
_cell_length_a 11.1887
_cell_length_b 3.6681
_cell_length_c 13.9135
_cell_angle_alpha 90.00
_cell_angle_beta 101.82
_cell_angle_gamma 90.00
_space_group_name_H-M_alt 'P 1 m 1'
_space_group_IT_number 6
loop_
_space_group_symop_operation_xyz
'x,y,z'
'x,-y,z'
loop_
_atom_site_label
_atom_site_type_symbol
_atom_site_fract_x
_atom_site_fract_y
_atom_site_fract_z
Hf1 Hf 0.0000 0.0000 0.0000
Hf2 Hf 0.0021 0.0000 0.5005
Hf3 Hf 0.2211 0.5000 0.6621
Hf4 Hf 0.5000 0.0000 0.7483
Zr1 Zr 0.2219 0.5000 0.1616
Zr2 Zr 0.5011 0.0000 0.2464
Zr3 Zr 0.7222 0.5000 0.4110
Zr4 Zr 0.7221 0.5000 0.9095
Bi1 Bi 0.0945 0.5000 0.3302
Bi2 Bi 0.0951 0.5000 0.8307
Bi3 Bi 0.3215 0.0000 0.0113
Bi4 Bi 0.3216 0.0000 0.5131
Bi5 Bi 0.5952 0.5000 0.0782
Bi6 Bi 0.5956 0.5000 0.5799
Bi7 Bi 0.8213 0.0000 0.2608
Bi8 Bi 0.8236 0.0000 0.7612
Ir1 Ir 0.2822 0.0000 0.3046
Ir2 Ir 0.2820 0.0000 0.8014
Ir3 Ir 0.4733 0.5000 0.3703
Ir4 Ir 0.4740 0.5000 0.8688
Ir5 Ir 0.7824 0.0000 0.0523
Ir6 Ir 0.7837 0.0000 0.5529
Ir7 Ir 0.9734 0.5000 0.1206
Ir8 Ir 0.9759 0.5000 0.6212
```


# Hf3ZrBi2N2
Simulated powder diffraction line list, λ = 1.5418 Å (Cu Kα). Input: a DFT-relaxed cell (PBE, OQMD).
Intensities are scaled so that the largest is 100.

The 10 most intense peaks (2θ from 15° to 90°), low angle first:
d_spacing  I_rel  index
3.018  25  1 0 0
2.512  100  0 1 3
2.266  16  0 0 6
1.812  14  1 0 6
1.742  23  1 1 0
1.432  18  2 0 3
1.381  20  1 1 6
1.351  15  0 1 9
1.256  4  0 2 6
1.106  16  1 2 3

Crystal structure
```
data_Hf3ZrBi2N2
_chemical_formula_sum 'Hf3 Zr1 Bi2 N2'
_cell_length_a 3.4850
_cell_length_b 3.4850
_cell_length_c 13.5985
_cell_angle_alpha 90.00
_cell_angle_beta 90.00
_cell_angle_gamma 120.00
_space_group_name_H-M_alt 'P 3 m 1'
_space_group_IT_number 156
loop_
_space_group_symop_operation_xyz
'x,y,z'
'-y,x-y,z'
'-x+y,-x,z'
'-y,-x,z'
'-x+y,y,z'
'x,x-y,z'
loop_
_atom_site_label
_atom_site_type_symbol
_atom_site_fract_x
_atom_site_fract_y
_atom_site_fract_z
Hf1 Hf 0.0000 0.0000 0.0000
Hf2 Hf 0.0000 0.0000 0.3381
Hf3 Hf 0.6667 0.3333 0.4991
Zr1 Zr 0.6667 0.3333 0.8374
Bi1 Bi 0.0000 0.0000 0.6670
Bi2 Bi 0.6667 0.3333 0.1697
N1 N 0.3333 0.6667 0.4183
N2 N 0.3333 0.6667 0.9248
```


# Hf2Zr4Bi3N3
Simulated powder diffraction line list, λ = 1.5418 Å (Cu Kα). Input: a DFT-relaxed cell (PBE, OQMD).
Intensities are scaled so that the largest is 100.

The 10 most intense peaks (2θ from 15° to 90°), low angle first:
d_spacing  I_rel  index
3.026  24  3 1 -1
2.525  100  0 2 3
2.290  16  0 0 6
1.826  14  3 1 -7
1.748  16  3 3 -1
1.745  8  6 0 -2
1.436  12  6 2 -5
1.389  16  3 3 -7
1.363  14  0 2 9
1.110  11  3 5 -4

Crystal structure
```
data_Hf2Zr4Bi3N3
_chemical_formula_sum 'Hf8 Zr16 Bi12 N12'
_cell_length_a 10.4682
_cell_length_b 6.0587
_cell_length_c 14.1743
_cell_angle_alpha 90.00
_cell_angle_beta 104.21
_cell_angle_gamma 90.00
_space_group_name_H-M_alt 'C 1 2/c 1'
_space_group_IT_number 15
loop_
_space_group_symop_operation_xyz
'x,y,z'
'-x,-y,-z'
'-x,y,-z+1/2'
'x,-y,z+1/2'
'x+1/2,y+1/2,z'
'-x+1/2,-y+1/2,-z'
'-x+1/2,y+1/2,-z+1/2'
'x+1/2,-y+1/2,z+1/2'
loop_
_atom_site_label
_atom_site_type_symbol
_atom_site_fract_x
_atom_site_fract_y
_atom_site_fract_z
Hf1 Hf 0.0608 0.0873 0.4211
Zr1 Zr 0.1107 0.4241 0.5820
Zr2 Zr 0.2189 0.4126 0.9181
Bi1 Bi 0.0000 0.4144 0.2500
Bi2 Bi 0.1650 0.0823 0.7485
N1 N 0.0777 0.2332 0.0000
N2 N 0.2500 0.2500 0.5000
```


# Hf6NiBi2
Simulated powder diffraction line list, λ = 1.5418 Å (Cu Kα). Input: a DFT-relaxed cell (PBE, OQMD).
Intensities are scaled so that the largest is 100.

The 10 most intense peaks (2θ from 15° to 90°), low angle first:
d_spacing  I_rel  index
2.674  100  1 1 1
2.560  59  2 1 0
2.487  52  2 0 1
2.257  36  3 0 0
2.099  34  2 1 1
1.833  18  0 0 2
1.490  23  2 1 2
1.430  23  3 2 1
1.423  17  3 0 2
1.371  21  4 1 1

Crystal structure
```
data_Hf6NiBi2
_chemical_formula_sum 'Hf6 Ni1 Bi2'
_cell_length_a 7.8199
_cell_length_b 7.8199
_cell_length_c 3.6657
_cell_angle_alpha 90.00
_cell_angle_beta 90.00
_cell_angle_gamma 120.00
_space_group_name_H-M_alt 'P -6 2 m'
_space_group_IT_number 189
_space_group_name_Hall 'P -6 -2'
loop_
_atom_site_label
_atom_site_type_symbol
_atom_site_fract_x
_atom_site_fract_y
_atom_site_fract_z
Hf1 Hf 0.0000 0.2349 0.0000
Hf2 Hf 0.0000 0.6118 0.5000
Ni1 Ni 0.0000 0.0000 0.5000
Bi1 Bi 0.3333 0.6667 0.0000
```


# HfZr2Ni4Bi2Sb2
Simulated powder diffraction line list, λ = 1.5418 Å (Cu Kα). Input: a DFT-relaxed cell (PBE, OQMD).
Intensities are scaled so that the largest is 100.

The 10 most intense peaks (2θ from 15° to 90°), low angle first:
d_spacing  I_rel  index
5.488  20  1 0 1
3.545  36  1 1 2
3.083  23  0 0 4
3.064  47  2 0 0
2.173  100  2 0 4
2.167  50  2 2 0
1.773  20  2 2 4
1.532  16  4 0 0
1.371  18  4 2 0
1.252  33  4 2 4

Crystal structure
```
data_HfZr2Ni4Bi2Sb2
_chemical_formula_sum 'Hf2 Zr4 Ni8 Bi4 Sb4'
_cell_length_a 6.1283
_cell_length_b 6.1283
_cell_length_c 12.3304
_cell_angle_alpha 90.00
_cell_angle_beta 90.00
_cell_angle_gamma 90.00
_space_group_name_H-M_alt 'I -4 2 m'
_space_group_IT_number 121
_space_group_name_Hall 'I -4 2'
loop_
_atom_site_label
_atom_site_type_symbol
_atom_site_fract_x
_atom_site_fract_y
_atom_site_fract_z
Hf1 Hf 0.0000 0.0000 0.0000
Zr1 Zr 0.0000 0.5000 0.2500
Ni1 Ni 0.2370 0.2370 0.8681
Bi1 Bi 0.0000 0.5000 0.0000
Sb1 Sb 0.0000 0.0000 0.2620
```